This entry pairs a crystal structure of Li2MnCr3O8 with its calculated XRD peak list. Radiation: λ = 1.5418 Å (Cu Kα). Structure: a DFT-relaxed cell (GGA+U, Alexandria).

Crystal structure
```
Li2MnCr3O8
1.0
5.110 -2.950 0.000
5.110 2.950 0.000
-3.410 0.000 4.919
Li Mn Cr O
2 1 3 8
Direct
0.000 0.500 0.000
0.500 0.000 0.000
0.000 0.000 0.500
0.000 0.500 0.500
0.500 0.000 0.500
0.500 0.500 0.500
0.230 0.230 0.711
0.240 0.742 0.704
0.258 0.760 0.296
0.271 0.271 0.290
0.729 0.729 0.710
0.742 0.240 0.704
0.760 0.258 0.296
0.770 0.770 0.289
```

Most intense lines, 2θ from 15° to 90°, most intense first:
two_theta  I (rel.)
18.03  100
43.06  57
35.66  32
63.02  16
56.60  15
62.06  14
66.13  13
47.04  9
37.24  7
79.38  7